Computed XRD peak list
Compound: SrMn2TlO8
Radiation: Cu Kα (λ = 1.5418 Å)
Structure: a crystal structure in Alexandria, relaxed with PBE+U
Peak positions follow from Bragg's law for the DFT cell and can differ from measured ones.

Main lines, by angle (2θ from 10° to 90°):
2theta	Rel. int.	h k l
17.8	82	1 0 0
20.9	87	0 1 1
28.3	100	1 0 2
31.1	70	1 1 0
37.8	17	0 2 1
38.3	41	1 1 2
42.6	46	0 2 2
48.4	43	0 1 4
49.7	16	1 2 1
53.6	31	2 1 2
55.3	23	3 0 0
67.8	26	1 2 4

```
SrMn2TlO8
1.0
5.7558 0.0000 0.0000
-2.8779 4.9847 0.0000
0.0000 0.0000 8.1263
Sr Mn Tl O
1 2 1 8
Cartesian
0.0000 0.0000 0.0000
0.0000 3.3231 6.7432
2.8779 1.6616 1.3832
0.0000 0.0000 4.0632
0.0000 1.7591 6.2184
-1.3545 4.1051 6.2184
0.0000 3.3231 0.2431
1.5234 0.8796 1.9080
1.3545 4.1051 6.2184
2.8779 1.6616 7.8832
4.2324 0.8796 1.9080
2.8779 3.2256 1.9080
```